Entry 1:
For TbNi5Ir, a crystal structure in Alexandria, relaxed with GGA-PBE gives the simulated powder X-ray diffraction pattern in this record (Cu Kα (λ = 1.5418 Å)).
Intensities are scaled so that the largest is 100.

Cell and atoms:
```
data_TbNi5Ir
_cell_length_a 7.8955
_cell_length_b 4.8667
_cell_length_c 9.9136
_cell_angle_alpha 90.00
_cell_angle_beta 90.00
_cell_angle_gamma 90.00
_symmetry_space_group_name_H-M 'P n m a'
_symmetry_Int_Tables_number 62
loop_
_symmetry_equiv_pos_as_xyz
'x,y,z'
'-x,-y,-z'
'-x+1/2,-y,z+1/2'
'x+1/2,y,-z+1/2'
'x+1/2,-y+1/2,-z+1/2'
'-x+1/2,y+1/2,z+1/2'
'-x,y+1/2,-z'
'x,-y+1/2,z'
loop_
_atom_site_label
_atom_site_type_symbol
_atom_site_fract_x
_atom_site_fract_y
_atom_site_fract_z
Tb1 Tb 0.2440 0.2500 0.0595
Ni1 Ni 0.0614 0.7500 0.0926
Ni2 Ni 0.0679 0.0055 0.3084
Ni3 Ni 0.0999 0.2500 0.5205
Ni4 Ni 0.1807 0.2500 0.7585
Ir1 Ir 0.1474 0.7500 0.8516
```

Principal peaks in the range 2θ = 15–90°, low angle first:
| h k l | two_theta | I_rel |
| --- | --- | --- |
| 1 1 3 | 34.72 | 48 |
| 0 2 0 | 36.94 | 59 |
| 1 0 4 | 38.05 | 76 |
| 3 1 1 | 39.99 | 100 |
| 2 1 3 | 40.12 | 72 |
| 3 1 2 | 43.13 | 38 |
| 2 2 1 | 44.69 | 57 |
| 2 1 4 | 47.15 | 57 |
| 1 2 3 | 47.83 | 49 |
| 3 3 1 | 68.65 | 35 |

Entry 2:
For Cs2SnCl3F, a crystal structure in Alexandria, relaxed with GGA-PBE gives the simulated powder X-ray diffraction pattern in this record (Cu Kα (λ = 1.5418 Å)).
Intensities are scaled so that the largest is 100.

Cell and atoms:
```
data_Cs2SnCl3F
_cell_length_a 4.7221
_cell_length_b 5.6810
_cell_length_c 18.1259
_cell_angle_alpha 90.00
_cell_angle_beta 90.00
_cell_angle_gamma 90.00
_symmetry_space_group_name_H-M 'I m m m'
_symmetry_Int_Tables_number 71
_symmetry_space_group_name_Hall '-I 2 2'
loop_
_atom_site_label
_atom_site_type_symbol
_atom_site_fract_x
_atom_site_fract_y
_atom_site_fract_z
Cs1 Cs 0.0000 0.0000 0.1465
Sn1 Sn 0.0000 0.0000 0.5000
Cl1 Cl 0.0000 0.0000 0.3394
Cl2 Cl 0.0000 0.5000 0.5000
F1 F 0.0000 0.5000 0.0000
```

Principal peaks in the range 2θ = 15–90°, low angle first:
| h k l | two_theta | I_rel |
| --- | --- | --- |
| 0 1 3 | 21.47 | 63 |
| 1 0 3 | 23.92 | 62 |
| 1 1 0 | 24.51 | 100 |
| 0 0 6 | 29.57 | 38 |
| 0 2 0 | 31.53 | 71 |
| 2 0 0 | 38.12 | 27 |
| 1 1 6 | 38.77 | 39 |
| 1 2 3 | 39.93 | 33 |
| 0 2 6 | 43.74 | 25 |
| 2 2 6 | 59.39 | 26 |

Entry 3:
For Ac6Zn5Ag, a crystal structure in Alexandria, relaxed with GGA-PBE gives the simulated powder X-ray diffraction pattern in this record (Cu Kα (λ = 1.5418 Å)).
Intensities are scaled so that the largest is 100.

Cell and atoms:
```
data_Ac6Zn5Ag
_cell_length_a 5.5382
_cell_length_b 16.6203
_cell_length_c 7.8598
_cell_angle_alpha 90.00
_cell_angle_beta 90.00
_cell_angle_gamma 90.00
_symmetry_space_group_name_H-M 'C m m m'
_symmetry_Int_Tables_number 65
_symmetry_space_group_name_Hall '-C 2 2'
loop_
_atom_site_label
_atom_site_type_symbol
_atom_site_fract_x
_atom_site_fract_y
_atom_site_fract_z
Ac1 Ac 0.0000 0.0000 0.2469
Ac2 Ac 0.0000 0.3327 0.2467
Zn1 Zn 0.0000 0.1670 0.0000
Zn2 Zn 0.0000 0.1695 0.5000
Zn3 Zn 0.0000 0.5000 0.0000
Ag1 Ag 0.0000 0.5000 0.5000
```

Principal peaks in the range 2θ = 15–90°, low angle first:
| h k l | two_theta | I_rel |
| --- | --- | --- |
| 1 3 0 | 22.68 | 26 |
| 2 0 0 | 32.29 | 100 |
| 2 0 2 | 39.82 | 9 |
| 0 0 4 | 46.20 | 6 |
| 2 6 0 | 46.36 | 12 |
| 1 9 0 | 52.20 | 8 |
| 2 0 4 | 57.51 | 13 |
| 3 3 2 | 57.61 | 26 |
| 2 6 4 | 67.53 | 8 |
| 4 6 0 | 76.97 | 11 |

Entry 4:
For Zr6ZnIr5, a crystal structure in Alexandria, relaxed with GGA-PBE gives the simulated powder X-ray diffraction pattern in this record (Cu Kα (λ = 1.5418 Å)).
Intensities are scaled so that the largest is 100.

Cell and atoms:
```
data_Zr6ZnIr5
_cell_length_a 4.6344
_cell_length_b 6.5819
_cell_length_c 14.4901
_cell_angle_alpha 90.00
_cell_angle_beta 90.00
_cell_angle_gamma 90.00
_symmetry_space_group_name_H-M 'I m m m'
_symmetry_Int_Tables_number 71
_symmetry_space_group_name_Hall '-I 2 2'
loop_
_atom_site_label
_atom_site_type_symbol
_atom_site_fract_x
_atom_site_fract_y
_atom_site_fract_z
Zr1 Zr 0.0000 0.2429 0.0000
Zr2 Zr 0.0000 0.2488 0.3299
Zn1 Zn 0.0000 0.0000 0.5000
Ir1 Ir 0.0000 0.0000 0.1677
Ir2 Ir 0.0000 0.5000 0.1438
Ir3 Ir 0.0000 0.5000 0.5000
```

Principal peaks in the range 2θ = 15–90°, low angle first:
| h k l | two_theta | I_rel |
| --- | --- | --- |
| 1 0 3 | 26.66 | 9 |
| 0 0 6 | 37.23 | 24 |
| 1 2 3 | 38.38 | 100 |
| 2 0 0 | 38.86 | 25 |
| 2 0 6 | 54.91 | 15 |
| 0 4 0 | 55.88 | 9 |
| 1 2 9 | 67.89 | 13 |
| 0 4 6 | 69.07 | 8 |
| 2 4 0 | 70.08 | 26 |
| 2 4 6 | 82.19 | 10 |

What did the fourth record say?
For Zr6ZnIr5, a crystal structure in Alexandria, relaxed with GGA-PBE gives the simulated powder X-ray diffraction pattern in this record (Cu Kα (λ = 1.5418 Å)).
Intensities are scaled so that the largest is 100.

Cell and atoms:
```
data_Zr6ZnIr5
_cell_length_a 4.6344
_cell_length_b 6.5819
_cell_length_c 14.4901
_cell_angle_alpha 90.00
_cell_angle_beta 90.00
_cell_angle_gamma 90.00
_symmetry_space_group_name_H-M 'I m m m'
_symmetry_Int_Tables_number 71
_symmetry_space_group_name_Hall '-I 2 2'
loop_
_atom_site_label
_atom_site_type_symbol
_atom_site_fract_x
_atom_site_fract_y
_atom_site_fract_z
Zr1 Zr 0.0000 0.2429 0.0000
Zr2 Zr 0.0000 0.2488 0.3299
Zn1 Zn 0.0000 0.0000 0.5000
Ir1 Ir 0.0000 0.0000 0.1677
Ir2 Ir 0.0000 0.5000 0.1438
Ir3 Ir 0.0000 0.5000 0.5000
```

Principal peaks in the range 2θ = 15–90°, low angle first:
| h k l | two_theta | I_rel |
| --- | --- | --- |
| 1 0 3 | 26.66 | 9 |
| 0 0 6 | 37.23 | 24 |
| 1 2 3 | 38.38 | 100 |
| 2 0 0 | 38.86 | 25 |
| 2 0 6 | 54.91 | 15 |
| 0 4 0 | 55.88 | 9 |
| 1 2 9 | 67.89 | 13 |
| 0 4 6 | 69.07 | 8 |
| 2 4 0 | 70.08 | 26 |
| 2 4 6 | 82.19 | 10 |